Structure and theoretical powder diffraction line list of MgZrMo2O8 (a cell relaxed with GGA+U; Cu Kα X-rays).
No peak broadening, texture or thermal motion is included.

The 10 most intense peaks (10° ≤ 2θ ≤ 90°), by angle:
hkl, 2θ (°), Rel. int.
1 0 1, 21.7, 100
1 1 -1, 25.0, 26
1 -1 0, 30.3, 25
1 1 2, 31.4, 11
2 1 0, 31.8, 27
1 0 -2, 34.8, 25
2 0 2, 44.2, 16
2 -1 1, 48.9, 12
3 1 1, 49.3, 8
1 -1 3, 53.5, 9

Cell and atoms:
Cell lengths 5.683, 5.683, 6.382 Å; angles 82.34, 82.38, 62.64 degrees
Fractional coordinates of all 12 atoms:
1 Mg 0.000 0.000 0.000
2 Zr 0.297 0.297 0.146
3 Mo 0.654 0.655 0.821
4 Mo 0.925 0.925 0.460
5 O 0.127 0.126 0.364
6 O 0.127 0.674 0.231
7 O 0.395 0.953 0.948
8 O 0.465 0.468 0.858
9 O 0.674 0.127 0.231
10 O 0.694 0.694 0.538
11 O 0.889 0.889 0.766
12 O 0.951 0.396 0.949